Record 1
Theoretical X-ray diffraction stick pattern
Compound: Ba8Sb5Br
Radiation: a wavelength of 1.5418 Å
Structure: DFT lattice parameters and positions (GGA-PBE)
Peak positions follow from Bragg's law for the DFT cell and can differ from measured ones.

Main lines, sorted by position (10° ≤ 2θ ≤ 90°):
2theta	I (rel.)
26.59	48
26.72	100
31.66	63
31.73	33
43.72	24
53.53	27

a = 10.547 Å, b = 10.547 Å, c = 10.608 Å
α = 90.00°, β = 90.00°, γ = 90.00°
Space group I-4 (No. 82)
One atom of each set of equivalent atoms:
Ba  0.071  0.314  0.433 [8 per cell]
Ba  0.073  0.175  0.804 [8 per cell]
Sb  0.000  0.000  0.500 [2 per cell]
Sb  0.129  0.248  0.120 [8 per cell]
Br  0.000  0.500  0.750 [2 per cell]

***

Record 2
Theoretical X-ray diffraction stick pattern
Compound: Ba4SeBr5
Radiation: a wavelength of 1.5418 Å
Structure: DFT lattice parameters and positions (GGA-PBE)
Peak positions follow from Bragg's law for the DFT cell and can differ from measured ones.

Main lines, sorted by position (10° ≤ 2θ ≤ 90°):
2theta	I (rel.)
27.66	100
28.48	46
36.25	27
36.38	75
46.73	23
61.16	20

a = 20.715 Å, b = 4.956 Å, c = 8.722 Å
α = 90.00°, β = 114.80°, γ = 90.00°
Space group C2/m (No. 12)
One atom of each set of equivalent atoms:
Ba  0.000  0.000  0.245 [4 per cell]
Ba  0.182  0.500  0.182 [4 per cell]
Se  0.000  0.500  0.000 [2 per cell]
Br  0.000  0.500  0.500 [2 per cell]
Br  0.173  0.000  0.428 [4 per cell]
Br  0.173  0.000  0.919 [4 per cell]

***

Record 3
Theoretical X-ray diffraction stick pattern
Compound: Ba2Se2Br
Radiation: a wavelength of 1.5418 Å
Structure: DFT lattice parameters and positions (GGA-PBE)
Peak positions follow from Bragg's law for the DFT cell and can differ from measured ones.

Main lines, sorted by position (10° ≤ 2θ ≤ 90°):
2theta	I (rel.)
30.21	100
31.85	37
40.70	19
41.93	17
52.60	18
59.85	18

a = 8.884 Å, b = 8.884 Å, c = 4.432 Å
α = 90.00°, β = 90.00°, γ = 90.00°
Space group P4/mbm (No. 127)
One atom of each set of equivalent atoms:
Ba  0.173  0.327  0.000 [4 per cell]
Se  0.117  0.617  0.500 [4 per cell]
Br  0.000  0.000  0.000 [2 per cell]

***

Record 4
Theoretical X-ray diffraction stick pattern
Compound: Ba5SiBr4
Radiation: a wavelength of 1.5418 Å
Structure: DFT lattice parameters and positions (GGA-PBE)
Peak positions follow from Bragg's law for the DFT cell and can differ from measured ones.

Main lines, sorted by position (10° ≤ 2θ ≤ 90°):
2theta	I (rel.)
22.76	26
26.26	100
26.50	50
37.48	36
37.65	76
46.49	39

a = 10.732 Å, b = 10.732 Å, c = 6.727 Å
α = 90.00°, β = 90.00°, γ = 90.00°
Space group I4/m (No. 87)
One atom of each set of equivalent atoms:
Ba  0.000  0.000  0.000 [2 per cell]
Ba  0.097  0.719  0.500 [8 per cell]
Si  0.000  0.000  0.500 [2 per cell]
Br  0.097  0.694  0.000 [8 per cell]

***

Record 5
Theoretical X-ray diffraction stick pattern
Compound: BaSiBr2
Radiation: a wavelength of 1.5418 Å
Structure: DFT lattice parameters and positions (GGA-PBE)
Peak positions follow from Bragg's law for the DFT cell and can differ from measured ones.

Main lines, sorted by position (10° ≤ 2θ ≤ 90°):
2theta	I (rel.)
22.62	27
30.89	26
31.87	100
38.63	14
53.64	12
55.56	20

a = 4.306 Å, b = 5.789 Å, c = 9.636 Å
α = 90.00°, β = 90.00°, γ = 90.00°
Space group Immm (No. 71)
One atom of each set of equivalent atoms:
Ba  0.000  0.000  0.000 [2 per cell]
Si  0.000  0.000  0.500 [2 per cell]
Br  0.000  0.500  0.193 [4 per cell]

***

Record 6
Theoretical X-ray diffraction stick pattern
Compound: BaSiWBr2
Radiation: a wavelength of 1.5418 Å
Structure: DFT lattice parameters and positions (GGA-PBE)
Peak positions follow from Bragg's law for the DFT cell and can differ from measured ones.

Main lines, sorted by position (10° ≤ 2θ ≤ 90°):
2theta	I (rel.)
19.39	100
24.34	44
25.60	42
29.39	59
35.46	45
39.37	53

a = 6.077 Å, b = 6.077 Å, c = 6.959 Å
α = 90.00°, β = 90.00°, γ = 90.00°
Space group P4/mmm (No. 123)
One atom of each set of equivalent atoms:
Ba  0.000  0.000  0.000 [1 per cell]
Si  0.000  0.000  0.500 [1 per cell]
W  0.500  0.500  0.500 [1 per cell]
Br  0.000  0.500  0.000 [2 per cell]